No. 1
The following is a theoretical XRD peak list of CsGa2P5O16. It was derived from a DFT-relaxed cell (PBE, the Materials Project), using Cu Ka.
Lines closer than 0.1° are merged.

Largest 10 diffraction maxima, sorted by position, 15° ≤ 2θ ≤ 90°:
- 2θ = 15.8°, d = 5.605 Å, intensity 47
- 2θ = 18.0°, d = 4.917 Å, intensity 89
- 2θ = 18.5°, d = 4.793 Å, intensity 50
- 2θ = 20.6°, d = 4.303 Å, intensity 75
- 2θ = 22.8°, d = 3.903 Å, intensity 85
- 2θ = 25.4°, d = 3.501 Å, intensity 98
- 2θ = 26.5°, d = 3.367 Å, intensity 54
- 2θ = 27.6°, d = 3.230 Å, intensity 64
- 2θ = 29.5°, d = 3.024 Å, intensity 61
- 2θ = 30.4°, d = 2.941 Å, intensity 100

Structure:
Cell: 7.559 9.370 10.358 Å, 90.00 112.27 90.00°
Atoms (fractional coordinates):
Cs1 0.000 0.196 0.000
Cs2 0.000 0.804 0.500
Ga1 0.376 0.139 0.784
Ga2 0.376 0.861 0.284
Ga3 0.934 0.369 0.392
Ga4 0.934 0.631 0.892
P1 0.123 0.415 0.726
P2 0.123 0.585 0.226
P3 0.283 0.127 0.453
P4 0.283 0.873 0.953
P5 0.520 0.455 0.765
P6 0.520 0.545 0.265
P7 0.573 0.296 0.127
P8 0.573 0.704 0.627
P9 0.618 0.139 0.382
P10 0.618 0.861 0.882
O1 0.011 0.467 0.811
O2 0.011 0.533 0.311
O3 0.044 0.460 0.573
O4 0.044 0.540 0.073
O5 0.153 0.254 0.746
O6 0.153 0.746 0.246
O7 0.158 0.259 0.405
O8 0.158 0.741 0.905
O9 0.232 0.012 0.339
O10 0.232 0.988 0.839
O11 0.299 0.065 0.593
O12 0.299 0.935 0.093
O13 0.333 0.493 0.795
O14 0.333 0.507 0.295
O15 0.477 0.231 0.987
O16 0.477 0.769 0.487
O17 0.488 0.456 0.123
O18 0.488 0.544 0.623
O19 0.497 0.217 0.235
O20 0.497 0.783 0.735
O21 0.501 0.181 0.474
O22 0.501 0.819 0.974
O23 0.522 0.298 0.736
O24 0.522 0.702 0.236
O25 0.611 0.021 0.855
O26 0.611 0.979 0.355
O27 0.691 0.482 0.380
O28 0.691 0.518 0.880
O29 0.789 0.298 0.191
O30 0.789 0.702 0.691
O31 0.817 0.199 0.448
O32 0.817 0.801 0.948



No. 2
The following is a theoretical XRD peak list of CsGaS2O8. It was derived from a DFT-relaxed cell (PBE, the Materials Project), using Cu Ka.
Lines closer than 0.1° are merged.

Largest 10 diffraction maxima, sorted by position, 15° ≤ 2θ ≤ 90°:
- 2θ = 20.8°, d = 4.267 Å, intensity 51
- 2θ = 23.2°, d = 3.842 Å, intensity 43
- 2θ = 29.1°, d = 3.068 Å, intensity 100
- 2θ = 36.5°, d = 2.463 Å, intensity 36
- 2θ = 42.0°, d = 2.151 Å, intensity 16
- 2θ = 46.3°, d = 1.961 Å, intensity 22
- 2θ = 47.3°, d = 1.921 Å, intensity 27
- 2θ = 55.9°, d = 1.644 Å, intensity 15
- 2θ = 60.3°, d = 1.534 Å, intensity 12
- 2θ = 61.2°, d = 1.515 Å, intensity 23

Structure:
Cell: 4.927 4.927 8.830 Å, 90.00 90.00 120.00°
Atoms (fractional coordinates):
Cs1 0.000 0.000 0.000
Ga1 0.000 0.000 0.500
S1 0.333 0.667 0.699
S2 0.667 0.333 0.301
O1 0.089 0.351 0.643
O2 0.262 0.911 0.643
O3 0.333 0.667 0.865
O4 0.351 0.089 0.357
O5 0.649 0.738 0.643
O6 0.667 0.333 0.135
O7 0.738 0.649 0.357
O8 0.911 0.262 0.357



No. 3
The following is a theoretical XRD peak list of CsGaSe2O6. It was derived from a DFT-relaxed cell (PBE, the Materials Project), using Cu Ka.
Lines closer than 0.1° are merged.

Largest 10 diffraction maxima, sorted by position, 15° ≤ 2θ ≤ 90°:
- 2θ = 21.5°, d = 4.139 Å, intensity 23
- 2θ = 24.1°, d = 3.688 Å, intensity 44
- 2θ = 24.9°, d = 3.572 Å, intensity 18
- 2θ = 26.1°, d = 3.408 Å, intensity 100
- 2θ = 26.9°, d = 3.316 Å, intensity 38
- 2θ = 28.0°, d = 3.189 Å, intensity 18
- 2θ = 29.0°, d = 3.075 Å, intensity 22
- 2θ = 32.0°, d = 2.798 Å, intensity 39
- 2θ = 33.1°, d = 2.704 Å, intensity 18
- 2θ = 41.0°, d = 2.202 Å, intensity 20

Structure:
Cell: 7.696 7.696 18.615 Å, 106.53 106.53 42.64°
Atoms (fractional coordinates):
Cs1 0.000 0.000 0.000
Cs2 0.051 0.051 0.707
Cs3 0.500 0.500 0.500
Cs4 0.949 0.949 0.293
Ga1 0.298 0.298 0.635
Ga2 0.344 0.344 0.128
Ga3 0.656 0.656 0.872
Ga4 0.702 0.702 0.365
Se1 0.207 0.207 0.454
Se2 0.234 0.234 0.946
Se3 0.243 0.243 0.266
Se4 0.448 0.448 0.820
Se5 0.552 0.552 0.180
Se6 0.757 0.757 0.734
Se7 0.766 0.766 0.054
Se8 0.793 0.793 0.546
O1 0.015 0.492 0.892
O2 0.034 0.515 0.328
O3 0.108 0.625 0.589
O4 0.181 0.181 0.540
O5 0.241 0.688 0.153
O6 0.312 0.759 0.847
O7 0.345 0.345 0.018
O8 0.345 0.345 0.236
O9 0.375 0.892 0.411
O10 0.420 0.420 0.723
O11 0.485 0.966 0.672
O12 0.492 0.015 0.892
O13 0.508 0.985 0.108
O14 0.515 0.034 0.328
O15 0.580 0.580 0.277
O16 0.625 0.108 0.589
O17 0.655 0.655 0.764
O18 0.655 0.655 0.982
O19 0.688 0.241 0.153
O20 0.759 0.312 0.847
O21 0.819 0.819 0.460
O22 0.892 0.375 0.411
O23 0.966 0.485 0.672
O24 0.985 0.508 0.108



No. 4
The following is a theoretical XRD peak list of CsGaS3. It was derived from a DFT-relaxed cell (PBE, the Materials Project), using Cu Ka.
Lines closer than 0.1° are merged.

Largest 10 diffraction maxima, sorted by position, 15° ≤ 2θ ≤ 90°:
- 2θ = 17.1°, d = 5.195 Å, intensity 23
- 2θ = 19.9°, d = 4.458 Å, intensity 43
- 2θ = 22.4°, d = 3.975 Å, intensity 40
- 2θ = 24.2°, d = 3.684 Å, intensity 100
- 2θ = 27.9°, d = 3.203 Å, intensity 92
- 2θ = 28.6°, d = 3.121 Å, intensity 26
- 2θ = 31.5°, d = 2.839 Å, intensity 49
- 2θ = 34.8°, d = 2.581 Å, intensity 39
- 2θ = 49.2°, d = 1.853 Å, intensity 19
- 2θ = 49.5°, d = 1.841 Å, intensity 31

Structure:
Cell: 7.746 12.737 6.548 Å, 90.00 107.59 90.00°
Atoms (fractional coordinates):
Cs1 0.247 0.083 0.219
Cs2 0.247 0.417 0.719
Cs3 0.753 0.583 0.281
Cs4 0.753 0.917 0.781
Ga1 0.310 0.729 0.357
Ga2 0.310 0.771 0.857
Ga3 0.690 0.229 0.143
Ga4 0.690 0.271 0.643
S1 0.060 0.672 0.869
S2 0.060 0.828 0.369
S3 0.192 0.586 0.144
S4 0.192 0.914 0.644
S5 0.480 0.676 0.688
S6 0.480 0.824 0.188
S7 0.520 0.176 0.812
S8 0.520 0.324 0.312
S9 0.808 0.086 0.356
S10 0.808 0.414 0.856
S11 0.940 0.172 0.631
S12 0.940 0.328 0.131



No. 5
The following is a theoretical XRD peak list of CsGaSe3. It was derived from a DFT-relaxed cell (PBE, the Materials Project), using Cu Ka.
Lines closer than 0.1° are merged.

Largest 10 diffraction maxima, sorted by position, 15° ≤ 2θ ≤ 90°:
- 2θ = 21.2°, d = 4.196 Å, intensity 16
- 2θ = 23.2°, d = 3.830 Å, intensity 21
- 2θ = 26.9°, d = 3.314 Å, intensity 22
- 2θ = 27.0°, d = 3.308 Å, intensity 100
- 2θ = 30.1°, d = 2.972 Å, intensity 42
- 2θ = 33.1°, d = 2.707 Å, intensity 23
- 2θ = 47.4°, d = 1.917 Å, intensity 27
- 2θ = 48.0°, d = 1.894 Å, intensity 13
- 2θ = 51.6°, d = 1.773 Å, intensity 21
- 2θ = 53.6°, d = 1.709 Å, intensity 15

Structure:
Cell: 7.969 13.298 6.912 Å, 90.00 106.53 90.00°
Atoms (fractional coordinates):
Cs1 0.247 0.081 0.214
Cs2 0.247 0.419 0.714
Cs3 0.753 0.581 0.286
Cs4 0.753 0.919 0.786
Ga1 0.318 0.728 0.357
Ga2 0.318 0.772 0.857
Ga3 0.682 0.228 0.143
Ga4 0.682 0.272 0.643
Se1 0.056 0.676 0.864
Se2 0.056 0.824 0.364
Se3 0.206 0.578 0.154
Se4 0.206 0.922 0.654
Se5 0.494 0.674 0.687
Se6 0.494 0.826 0.187
Se7 0.506 0.174 0.813
Se8 0.506 0.326 0.313
Se9 0.794 0.078 0.346
Se10 0.794 0.422 0.846
Se11 0.944 0.176 0.636
Se12 0.944 0.324 0.136



No. 6
The following is a theoretical XRD peak list of Cs5Ga3Se7. It was derived from a DFT-relaxed cell (PBE, the Materials Project), using Cu Ka.
Lines closer than 0.1° are merged.

Largest 10 diffraction maxima, sorted by position, 15° ≤ 2θ ≤ 90°:
- 2θ = 24.1°, d = 3.693 Å, intensity 28
- 2θ = 24.2°, d = 3.675 Å, intensity 18
- 2θ = 25.2°, d = 3.532 Å, intensity 100
- 2θ = 27.6°, d = 3.227 Å, intensity 32
- 2θ = 28.3°, d = 3.158 Å, intensity 45
- 2θ = 30.4°, d = 2.938 Å, intensity 31
- 2θ = 30.5°, d = 2.932 Å, intensity 17
- 2θ = 40.0°, d = 2.255 Å, intensity 17
- 2θ = 40.8°, d = 2.211 Å, intensity 16
- 2θ = 49.4°, d = 1.847 Å, intensity 15

Structure:
Cell: 11.409 11.409 9.848 Å, 104.52 104.52 71.14°
Atoms (fractional coordinates):
Cs1 0.025 0.438 0.781
Cs2 0.152 0.848 0.000
Cs3 0.288 0.712 0.500
Cs4 0.426 0.426 0.808
Cs5 0.438 0.025 0.781
Cs6 0.562 0.975 0.219
Cs7 0.574 0.574 0.192
Cs8 0.712 0.288 0.500
Cs9 0.848 0.152 0.000
Cs10 0.975 0.562 0.219
Ga1 0.072 0.072 0.442
Ga2 0.213 0.213 0.317
Ga3 0.347 0.347 0.164
Ga4 0.653 0.653 0.836
Ga5 0.787 0.787 0.683
Ga6 0.928 0.928 0.558
Se1 0.003 0.284 0.386
Se2 0.064 0.064 0.687
Se3 0.205 0.205 0.067
Se4 0.250 0.553 0.105
Se5 0.284 0.003 0.386
Se6 0.350 0.350 0.424
Se7 0.447 0.750 0.895
Se8 0.553 0.250 0.105
Se9 0.650 0.650 0.576
Se10 0.716 0.997 0.614
Se11 0.750 0.447 0.895
Se12 0.795 0.795 0.933
Se13 0.936 0.936 0.313
Se14 0.997 0.716 0.614



No. 7
The following is a theoretical XRD peak list of Cs3GaSe3. It was derived from a DFT-relaxed cell (PBE, the Materials Project), using Cu Ka.
Lines closer than 0.1° are merged.

Largest 10 diffraction maxima, sorted by position, 15° ≤ 2θ ≤ 90°:
- 2θ = 24.6°, d = 3.618 Å, intensity 43
- 2θ = 25.6°, d = 3.482 Å, intensity 30
- 2θ = 26.3°, d = 3.390 Å, intensity 100
- 2θ = 27.1°, d = 3.292 Å, intensity 43
- 2θ = 27.4°, d = 3.253 Å, intensity 80
- 2θ = 27.7°, d = 3.217 Å, intensity 42
- 2θ = 27.9°, d = 3.201 Å, intensity 50
- 2θ = 31.8°, d = 2.817 Å, intensity 34
- 2θ = 32.0°, d = 2.798 Å, intensity 57
- 2θ = 32.1°, d = 2.787 Å, intensity 32

Structure:
Cell: 8.710 14.075 11.398 Å, 90.00 126.68 90.00°
Atoms (fractional coordinates):
Cs1 0.123 0.128 0.486
Cs2 0.123 0.372 0.986
Cs3 0.145 0.078 0.887
Cs4 0.145 0.422 0.387
Cs5 0.370 0.693 0.585
Cs6 0.370 0.807 0.085
Cs7 0.630 0.193 0.915
Cs8 0.630 0.307 0.415
Cs9 0.855 0.578 0.613
Cs10 0.855 0.922 0.113
Cs11 0.877 0.628 0.014
Cs12 0.877 0.872 0.514
Ga1 0.433 0.057 0.341
Ga2 0.433 0.443 0.841
Ga3 0.567 0.557 0.159
Ga4 0.567 0.943 0.659
Se1 0.154 0.161 0.195
Se2 0.154 0.339 0.695
Se3 0.364 0.604 0.891
Se4 0.364 0.896 0.391
Se5 0.389 0.554 0.259
Se6 0.389 0.946 0.759
Se7 0.611 0.054 0.241
Se8 0.611 0.446 0.741
Se9 0.636 0.104 0.609
Se10 0.636 0.396 0.109
Se11 0.846 0.661 0.305
Se12 0.846 0.839 0.805



No. 8
The following is a theoretical XRD peak list of CsGd. It was derived from a DFT-relaxed cell (PBE, the Materials Project), using Cu Ka.
Lines closer than 0.1° are merged.

Largest 10 diffraction maxima, sorted by position, 15° ≤ 2θ ≤ 90°:
- 2θ = 23.7°, d = 3.750 Å, intensity 36
- 2θ = 26.1°, d = 3.420 Å, intensity 22
- 2θ = 28.7°, d = 3.112 Å, intensity 100
- 2θ = 35.5°, d = 2.527 Å, intensity 19
- 2θ = 44.9°, d = 2.018 Å, intensity 29
- 2θ = 46.0°, d = 1.975 Å, intensity 18
- 2θ = 52.4°, d = 1.747 Å, intensity 25
- 2θ = 55.1°, d = 1.667 Å, intensity 16
- 2θ = 69.1°, d = 1.360 Å, intensity 11
- 2θ = 74.5°, d = 1.274 Å, intensity 13

Structure:
Cell: 3.949 3.949 7.500 Å, 90.00 90.00 120.00°
Atoms (fractional coordinates):
Cs1 0.000 0.000 0.000
Gd1 0.667 0.333 0.500